Starting from a structure optimized by DFT (PBE), the powder XRD pattern of BiP2O7 was simulated for a wavelength of 1.5418 Å.

Main lines, low angle first (2θ from 10° to 80°):
two_theta	d (Å)	I_rel	index
16.3	5.448	98	1 1 0
18.7	4.736	10	0 0 2
20.0	4.431	11	0 2 0
22.1	4.027	42	1 1 -2
27.5	3.240	100	0 2 2
32.9	2.724	19	2 2 0
33.0	2.716	14	1 3 0
38.0	2.366	13	1 1 -4
39.9	2.259	13	2 0 -4
40.0	2.254	14	1 3 2
48.2	1.889	9	1 3 -4
54.1	1.696	10	1 3 4

Crystal structure
Lattice parameters (Å, degrees): 7.1786 8.8615 9.8422 90.00 105.78 90.00
Fractional coordinates of all 40 atoms:
Bi 0.2181 0.2311 0.0063
Bi 0.2181 0.2689 0.5063
Bi 0.7819 0.7311 0.4937
Bi 0.7819 0.7689 0.9937
P 0.0560 0.5842 0.2926
P 0.0560 0.9158 0.7926
P 0.4397 0.0340 0.7808
P 0.4397 0.4660 0.2808
P 0.5603 0.5340 0.7192
P 0.5603 0.9660 0.2192
P 0.9440 0.0842 0.2074
P 0.9440 0.4158 0.7074
O 0.0222 0.7213 0.3784
O 0.0222 0.7787 0.8784
O 0.0248 0.0674 0.8589
O 0.0248 0.4326 0.3589
O 0.0658 0.0842 0.3623
O 0.0658 0.4158 0.8623
O 0.2812 0.5936 0.2917
O 0.2812 0.9064 0.7917
O 0.3656 0.0446 0.1625
O 0.3656 0.4554 0.6625
O 0.4138 0.0767 0.6248
O 0.4137 0.1739 0.8666
O 0.4137 0.3261 0.3666
O 0.4138 0.4233 0.1248
O 0.5862 0.5767 0.8752
O 0.5863 0.6739 0.6334
O 0.5863 0.8261 0.1334
O 0.5862 0.9233 0.3752
O 0.6344 0.5446 0.3375
O 0.6344 0.9554 0.8375
O 0.7188 0.0936 0.2083
O 0.7188 0.4064 0.7083
O 0.9342 0.5842 0.1377
O 0.9342 0.9158 0.6377
O 0.9752 0.5674 0.6411
O 0.9752 0.9326 0.1411
O 0.9778 0.2213 0.1216
O 0.9778 0.2787 0.6216